# 1
Li2FeP2O7: simulated XRD peak list (Cu Kα (weighted mean of Kα1 and Kα2)), based on a GGA+U-relaxed structure.
Neutral-atom scattering factors, no anomalous dispersion.

Principal peaks in the range 10 to 80 degrees two-theta, by angle:
| 2theta | intensity |
| --- | --- |
| 11.0 | 51.2 |
| 20.9 | 62.6 |
| 23.3 | 100.0 |
| 23.4 | 29.2 |
| 26.5 | 40.6 |
| 27.0 | 26.4 |
| 28.5 | 45.3 |
| 28.8 | 72.4 |
| 33.5 | 24.0 |
| 35.0 | 40.8 |

Crystal structure
abc: 5.132 7.050 16.317
angles: 84.65 81.16 69.79
Element x y z (fractional)
Li  0.000  0.000  0.000
Li  0.015  0.400  0.387
Li  0.339  0.560  0.871
Li  0.357  0.961  0.258
Li  0.498  0.506  0.499
Li  0.522  0.900  0.886
Li  0.837  0.060  0.372
Li  0.854  0.460  0.760
Fe  0.408  0.247  0.048
Fe  0.446  0.214  0.710
Fe  0.906  0.746  0.549
Fe  0.949  0.713  0.210
P  0.019  0.002  0.807
P  0.339  0.960  0.450
P  0.393  0.685  0.682
P  0.470  0.774  0.075
P  0.513  0.503  0.308
P  0.843  0.457  0.950
P  0.887  0.186  0.183
P  0.971  0.272  0.577
O  0.082  0.319  0.650
O  0.118  0.185  0.800
O  0.130  0.860  0.881
O  0.158  0.403  0.954
O  0.159  0.237  0.161
O  0.161  0.882  0.722
O  0.198  0.557  0.304
O  0.199  0.724  0.098
O  0.216  0.083  0.535
O  0.227  0.102  0.377
O  0.228  0.782  0.459
O  0.281  0.642  0.608
O  0.427  0.950  0.008
O  0.434  0.508  0.750
O  0.586  0.815  0.149
O  0.611  0.686  0.301
O  0.621  0.362  0.382
O  0.653  0.383  0.223
O  0.655  0.898  0.451
O  0.664  0.735  0.661
O  0.704  0.577  0.035
O  0.706  0.055  0.804
O  0.711  0.208  0.600
O  0.734  0.599  0.877
O  0.743  0.275  0.957
O  0.772  0.145  0.109
O  0.916  0.450  0.510
O  0.930  0.010  0.250

# 2
LiFePO4: simulated XRD peak list (Cu Kα (weighted mean of Kα1 and Kα2)), based on a GGA+U-relaxed structure.
Neutral-atom scattering factors, no anomalous dispersion.

Principal peaks in the range 10 to 80 degrees two-theta, by angle:
| 2theta | intensity |
| --- | --- |
| 20.2 | 68.9 |
| 23.6 | 32.1 |
| 24.7 | 78.9 |
| 33.8 | 92.1 |
| 34.2 | 100.0 |
| 35.0 | 63.6 |
| 38.8 | 27.1 |
| 50.6 | 43.4 |
| 60.3 | 35.2 |
| 64.2 | 28.6 |

Crystal structure
abc: 9.396 6.318 4.971
angles: 90.00 90.00 90.00
Element x y z (fractional)
Li  0.169  0.250  0.024
Li  0.331  0.750  0.524
Li  0.669  0.250  0.476
Li  0.831  0.750  0.976
Fe  0.000  0.000  0.500
Fe  0.000  0.500  0.500
Fe  0.500  0.000  0.000
Fe  0.500  0.500  0.000
P  0.178  0.750  0.029
P  0.322  0.250  0.529
P  0.678  0.750  0.471
P  0.822  0.250  0.971
O  0.118  0.547  0.160
O  0.118  0.953  0.160
O  0.140  0.750  0.723
O  0.157  0.250  0.585
O  0.343  0.750  0.085
O  0.360  0.250  0.223
O  0.382  0.047  0.660
O  0.382  0.453  0.660
O  0.618  0.547  0.340
O  0.618  0.953  0.340
O  0.640  0.750  0.777
O  0.657  0.250  0.915
O  0.843  0.750  0.415
O  0.860  0.250  0.277
O  0.882  0.047  0.840
O  0.882  0.453  0.840

# 3
Li2FeP2O7: simulated XRD peak list (Cu Kα (weighted mean of Kα1 and Kα2)), based on a GGA+U-relaxed structure.
Neutral-atom scattering factors, no anomalous dispersion.

Principal peaks in the range 10 to 80 degrees two-theta, by angle:
| 2theta | intensity |
| --- | --- |
| 12.6 | 92.4 |
| 20.3 | 31.4 |
| 23.0 | 25.6 |
| 25.6 | 13.2 |
| 25.9 | 24.8 |
| 26.8 | 100.0 |
| 28.4 | 20.7 |
| 34.0 | 13.4 |
| 44.2 | 13.3 |
| 52.0 | 13.1 |

Crystal structure
abc: 8.171 8.171 8.934
angles: 113.63 113.63 35.93
Element x y z (fractional)
Li  0.048  0.333  0.052
Li  0.333  0.048  0.552
Li  0.667  0.952  0.448
Li  0.952  0.667  0.948
Fe  0.000  0.000  0.000
Fe  0.000  0.000  0.500
P  0.262  0.532  0.684
P  0.468  0.738  0.816
P  0.532  0.262  0.184
P  0.738  0.468  0.316
O  0.055  0.741  0.559
O  0.123  0.665  0.837
O  0.245  0.401  0.112
O  0.259  0.945  0.941
O  0.335  0.877  0.663
O  0.401  0.245  0.612
O  0.482  0.518  0.250
O  0.518  0.482  0.750
O  0.599  0.755  0.388
O  0.665  0.123  0.337
O  0.741  0.055  0.059
O  0.755  0.599  0.888
O  0.877  0.335  0.163
O  0.945  0.259  0.441

# 4
Li2FeP2O8: simulated XRD peak list (Cu Kα (weighted mean of Kα1 and Kα2)), based on a GGA+U-relaxed structure.
Neutral-atom scattering factors, no anomalous dispersion.

Principal peaks in the range 10 to 80 degrees two-theta, by angle:
| 2theta | intensity |
| --- | --- |
| 17.3 | 100.0 |
| 18.4 | 35.6 |
| 20.4 | 99.9 |
| 23.0 | 57.5 |
| 25.3 | 37.4 |
| 30.2 | 66.9 |
| 35.8 | 34.8 |
| 36.4 | 19.0 |
| 39.8 | 18.7 |
| 62.9 | 21.8 |

Crystal structure
abc: 4.825 5.912 10.230
angles: 89.91 89.74 88.65
Element x y z (fractional)
Li  0.000  0.000  0.000
Li  0.031  0.753  0.274
Li  0.500  0.500  0.500
Li  0.969  0.247  0.726
Fe  0.484  0.753  0.779
Fe  0.516  0.247  0.221
P  0.084  0.251  0.397
P  0.432  0.251  0.906
P  0.568  0.749  0.094
P  0.916  0.749  0.603
O  0.159  0.252  0.543
O  0.229  0.053  0.320
O  0.232  0.738  0.623
O  0.238  0.455  0.331
O  0.253  0.765  0.096
O  0.295  0.044  0.837
O  0.311  0.463  0.835
O  0.314  0.247  0.050
O  0.686  0.753  0.950
O  0.689  0.537  0.165
O  0.705  0.956  0.163
O  0.747  0.235  0.904
O  0.762  0.545  0.669
O  0.768  0.262  0.377
O  0.771  0.947  0.680
O  0.841  0.748  0.457

Repeat the fourth record exactly.
Li2FeP2O8: simulated XRD peak list (Cu Kα (weighted mean of Kα1 and Kα2)), based on a GGA+U-relaxed structure.
Neutral-atom scattering factors, no anomalous dispersion.

Principal peaks in the range 10 to 80 degrees two-theta, by angle:
| 2theta | intensity |
| --- | --- |
| 17.3 | 100.0 |
| 18.4 | 35.6 |
| 20.4 | 99.9 |
| 23.0 | 57.5 |
| 25.3 | 37.4 |
| 30.2 | 66.9 |
| 35.8 | 34.8 |
| 36.4 | 19.0 |
| 39.8 | 18.7 |
| 62.9 | 21.8 |

Crystal structure
abc: 4.825 5.912 10.230
angles: 89.91 89.74 88.65
Element x y z (fractional)
Li  0.000  0.000  0.000
Li  0.031  0.753  0.274
Li  0.500  0.500  0.500
Li  0.969  0.247  0.726
Fe  0.484  0.753  0.779
Fe  0.516  0.247  0.221
P  0.084  0.251  0.397
P  0.432  0.251  0.906
P  0.568  0.749  0.094
P  0.916  0.749  0.603
O  0.159  0.252  0.543
O  0.229  0.053  0.320
O  0.232  0.738  0.623
O  0.238  0.455  0.331
O  0.253  0.765  0.096
O  0.295  0.044  0.837
O  0.311  0.463  0.835
O  0.314  0.247  0.050
O  0.686  0.753  0.950
O  0.689  0.537  0.165
O  0.705  0.956  0.163
O  0.747  0.235  0.904
O  0.762  0.545  0.669
O  0.768  0.262  0.377
O  0.771  0.947  0.680
O  0.841  0.748  0.457